Structure and theoretical powder diffractogram of SrCaZrTiO6 (a DFT-relaxed cell (GGA-PBE, the Materials Project); λ = 1.5418 Å (Cu Kα)).

Largest 12 diffraction maxima, low angle first, 10 to 90 degrees two-theta:
2θ (°), intensity
18.99, 14
21.96, 5
31.25, 100
36.83, 10
38.53, 5
44.78, 42
49.05, 5
55.62, 38
59.32, 3
65.19, 24
74.07, 16
82.57, 8

Structure:
```
data_SrCaZrTiO6
_chemical_formula_sum 'Sr1 Ca1 Zr1 Ti1 O6'
_space_group_name_H-M_alt 'P 1'
_space_group_IT_number 1
_space_group_name_Hall 'P 1'
_cell_length_a 5.7239
_cell_length_b 5.7239
_cell_length_c 5.7239
_cell_angle_alpha 60.00
_cell_angle_beta 60.00
_cell_angle_gamma 60.00
loop_
_atom_site_label
_atom_site_type_symbol
_atom_site_fract_x
_atom_site_fract_y
_atom_site_fract_z
Sr1 Sr 0.0000 0.0000 0.0000
Ca1 Ca 0.5000 0.5000 0.5000
Zr1 Zr 0.2500 0.2500 0.2500
Ti1 Ti 0.7500 0.7500 0.7500
O1 O 0.5079 0.5079 0.9921
O2 O 0.5079 0.9921 0.5079
O3 O 0.5079 0.9921 0.9921
O4 O 0.9921 0.5079 0.5079
O5 O 0.9921 0.5079 0.9921
O6 O 0.9921 0.9921 0.5079
```

=====

Structure and theoretical powder diffractogram of RbGd2CuS4 (a DFT-relaxed cell (GGA-PBE, the Materials Project); λ = 1.5418 Å (Cu Kα)).

Largest 12 diffraction maxima, low angle first, 10 to 90 degrees two-theta:
2θ (°), intensity
14.25, 44
23.10, 89
25.63, 56
26.41, 59
30.12, 76
32.16, 100
34.83, 41
40.02, 34
43.68, 25
44.19, 77
45.08, 32
52.59, 24

Structure:
```
data_RbGd2CuS4
_chemical_formula_sum 'Rb2 Gd4 Cu2 S8'
_space_group_name_H-M_alt 'P 1'
_space_group_IT_number 1
_space_group_name_Hall 'P 1'
_cell_length_a 7.2411
_cell_length_b 7.2411
_cell_length_c 13.8611
_cell_angle_alpha 90.00
_cell_angle_beta 90.00
_cell_angle_gamma 147.75
loop_
_atom_site_label
_atom_site_type_symbol
_atom_site_fract_x
_atom_site_fract_y
_atom_site_fract_z
Rb1 Rb 0.1066 0.8934 0.7500
Rb2 Rb 0.8934 0.1066 0.2500
Gd1 Gd 0.3660 0.6340 0.5613
Gd2 Gd 0.3660 0.6340 0.9387
Gd3 Gd 0.6340 0.3660 0.0613
Gd4 Gd 0.6340 0.3660 0.4387
Cu1 Cu 0.1655 0.8345 0.2500
Cu2 Cu 0.8345 0.1655 0.7500
S1 S 0.0000 0.0000 0.0000
S2 S 0.0000 0.0000 0.5000
S3 S 0.2592 0.7408 0.1096
S4 S 0.2592 0.7408 0.3904
S5 S 0.4234 0.5766 0.7500
S6 S 0.5766 0.4234 0.2500
S7 S 0.7408 0.2592 0.6096
S8 S 0.7408 0.2592 0.8904
```

=====

Structure and theoretical powder diffractogram of Ce2Mn3Cu9As7 (a DFT-relaxed cell (GGA-PBE, the Materials Project); λ = 1.5418 Å (Cu Kα)).

Largest 12 diffraction maxima, low angle first, 10 to 90 degrees two-theta:
2θ (°), intensity
30.66, 12
31.52, 13
35.80, 100
38.90, 11
42.46, 10
44.55, 23
45.32, 27
49.03, 26
52.10, 15
68.97, 18
77.24, 9
77.45, 10

Structure:
```
data_Ce2Mn3Cu9As7
_chemical_formula_sum 'Ce2 Mn3 Cu9 As7'
_space_group_name_H-M_alt 'P 1'
_space_group_IT_number 1
_space_group_name_Hall 'P 1'
_cell_length_a 9.8321
_cell_length_b 9.8321
_cell_length_c 4.0018
_cell_angle_alpha 90.00
_cell_angle_beta 90.00
_cell_angle_gamma 120.00
loop_
_atom_site_label
_atom_site_type_symbol
_atom_site_fract_x
_atom_site_fract_y
_atom_site_fract_z
Ce1 Ce 0.0000 0.0000 0.0000
Ce2 Ce 0.3333 0.6667 0.5000
Mn1 Mn 0.4487 0.2096 0.0000
Mn2 Mn 0.7608 0.5513 0.0000
Mn3 Mn 0.7904 0.2392 0.0000
Cu1 Cu 0.0401 0.2856 0.5000
Cu2 Cu 0.0882 0.7111 0.0000
Cu3 Cu 0.2455 0.9599 0.5000
Cu4 Cu 0.2889 0.3772 0.0000
Cu5 Cu 0.5054 0.4537 0.5000
Cu6 Cu 0.5463 0.0517 0.5000
Cu7 Cu 0.6228 0.9118 0.0000
Cu8 Cu 0.7144 0.7545 0.5000
Cu9 Cu 0.9483 0.4946 0.5000
As1 As 0.0830 0.4533 0.0000
As2 As 0.2488 0.2105 0.5000
As3 As 0.3703 0.9170 0.0000
As4 As 0.5467 0.6297 0.0000
As5 As 0.6667 0.3333 0.5000
As6 As 0.7895 0.0383 0.5000
As7 As 0.9617 0.7512 0.5000
```

=====

Structure and theoretical powder diffractogram of SrSmEuNbO6 (a DFT-relaxed cell (GGA-PBE, the Materials Project); λ = 1.5418 Å (Cu Kα)).

Largest 12 diffraction maxima, low angle first, 10 to 90 degrees two-theta:
2θ (°), intensity
10.43, 2
14.77, 2
18.12, 2
29.80, 100
35.09, 2
39.77, 2
42.64, 27
52.88, 45
61.89, 16
70.18, 18
78.06, 5
85.72, 23

Structure:
```
data_SrSmEuNbO6
_chemical_formula_sum 'Sr4 Sm4 Eu4 Nb4 O24'
_space_group_name_H-M_alt 'P 1'
_space_group_IT_number 1
_space_group_name_Hall 'P 1'
_cell_length_a 8.4778
_cell_length_b 8.4817
_cell_length_c 8.4845
_cell_angle_alpha 90.00
_cell_angle_beta 90.00
_cell_angle_gamma 90.00
loop_
_atom_site_label
_atom_site_type_symbol
_atom_site_fract_x
_atom_site_fract_y
_atom_site_fract_z
Sr1 Sr 0.0000 0.0000 0.0000
Sr2 Sr 0.0000 0.0000 0.5000
Sr3 Sr 0.0000 0.5000 0.0000
Sr4 Sr 0.5000 0.5000 0.0000
Sm1 Sm 0.2502 0.2501 0.7499
Sm2 Sm 0.2502 0.7499 0.2501
Sm3 Sm 0.7498 0.2501 0.2501
Sm4 Sm 0.7498 0.7499 0.7499
Eu1 Eu 0.0000 0.5000 0.5000
Eu2 Eu 0.5000 0.0000 0.0000
Eu3 Eu 0.5000 0.0000 0.5000
Eu4 Eu 0.5000 0.5000 0.5000
Nb1 Nb 0.2506 0.2504 0.2501
Nb2 Nb 0.2506 0.7496 0.7499
Nb3 Nb 0.7494 0.2504 0.7499
Nb4 Nb 0.7494 0.7496 0.2501
O1 O 0.0172 0.2130 0.2965
O2 O 0.0172 0.7870 0.7035
O3 O 0.2039 0.4830 0.2132
O4 O 0.2039 0.5170 0.7868
O5 O 0.2135 0.2037 0.0172
O6 O 0.2135 0.7963 0.9828
O7 O 0.2893 0.2979 0.4835
O8 O 0.2893 0.7021 0.5165
O9 O 0.2981 0.0169 0.2891
O10 O 0.2981 0.9831 0.7109
O11 O 0.4834 0.2874 0.2040
O12 O 0.4834 0.7126 0.7960
O13 O 0.5166 0.2874 0.7960
O14 O 0.5166 0.7126 0.2040
O15 O 0.7019 0.0169 0.7109
O16 O 0.7019 0.9831 0.2891
O17 O 0.7107 0.2979 0.5165
O18 O 0.7107 0.7021 0.4835
O19 O 0.7865 0.2037 0.9828
O20 O 0.7865 0.7963 0.0172
O21 O 0.7961 0.4830 0.7868
O22 O 0.7961 0.5170 0.2132
O23 O 0.9828 0.2130 0.7035
O24 O 0.9828 0.7870 0.2965
```